For Nd2GePt8, a GGA-PBE-relaxed structure gives the calculated powder diffraction line list in this record (copper Kα).
No peak broadening, texture or thermal motion is included.

Cell and atoms:
a b c (Å): 4.319 9.274 9.274
angles (deg): 145.49 90.00 90.00
Element x y z (fractional)
Nd 0.000 0.124 0.876
Nd 0.000 0.876 0.124
Ge 0.500 0.265 0.265
Pt 0.000 0.303 0.708
Pt 0.000 0.507 0.507
Pt 0.000 0.708 0.303
Pt 0.500 0.008 0.510
Pt 0.500 0.394 0.620
Pt 0.500 0.510 0.008
Pt 0.500 0.620 0.394
Pt 0.500 0.842 0.842

Largest 12 diffraction maxima, low angle first, 2θ = 15–90°:
d 5.254, 2θ 16.88, I 21.0
d 2.945, 2θ 30.36, I 17.5
d 2.452, 2θ 36.65, I 100.0
d 2.337, 2θ 38.53, I 22.8
d 2.320, 2θ 38.81, I 30.5
d 2.214, 2θ 40.75, I 16.8
d 2.160, 2θ 41.83, I 41.2
d 2.055, 2θ 44.06, I 38.3
d 1.586, 2θ 58.17, I 13.8
d 1.524, 2θ 60.78, I 14.1
d 1.296, 2θ 72.99, I 14.4
d 1.226, 2θ 77.94, I 16.2